Structure and calculated powder diffractogram of CuAgCl (a structure optimized by DFT (PBE); CuKα).

Crystal structure
```
data_CuAgCl
_symmetry_space_group_name_H-M 'P 3 m 1'
_symmetry_Int_Tables_number 156
_symmetry_space_group_name_Hall 'P 3 -2"'
_cell_length_a 3.2670
_cell_length_b 3.2670
_cell_length_c 5.8026
_cell_angle_alpha 90.00
_cell_angle_beta 90.00
_cell_angle_gamma 120.00
loop_
_atom_site_label
_atom_site_type_symbol
_atom_site_fract_x
_atom_site_fract_y
_atom_site_fract_z
_atom_site_occupancy
Cu1 Cu 0.0000 0.0000 0.0000 1
Ag1 Ag 0.3333 0.6667 0.3280 1
Cl1 Cl 0.6667 0.3333 0.7331 1
```

Peak list (8 most intense, 10° ≤ 2θ ≤ 80°, low angle first)
(hkl), d/Å, Position (°2θ), I_rel
0 0 1, 5.803, 15.27, 19
1 0 0, 2.829, 31.62, 11
0 1 1, 2.543, 35.29, 100
1 0 2, 2.026, 44.74, 46
0 0 3, 1.934, 46.98, 10
1 1 0, 1.634, 56.32, 22
2 0 1, 1.374, 68.24, 13
1 1 3, 1.248, 76.30, 13



Structure and calculated powder diffractogram of Dy3HgOs (a structure optimized by DFT (PBE); CuKα).

Crystal structure
```
data_Dy3HgOs
_symmetry_space_group_name_H-M 'F m m m'
_symmetry_Int_Tables_number 69
_symmetry_space_group_name_Hall '-F 2 2'
_cell_length_a 6.4898
_cell_length_b 9.7077
_cell_length_c 16.0475
_cell_angle_alpha 90.00
_cell_angle_beta 90.00
_cell_angle_gamma 90.00
loop_
_atom_site_label
_atom_site_type_symbol
_atom_site_fract_x
_atom_site_fract_y
_atom_site_fract_z
_atom_site_occupancy
Dy1 Dy 0.0000 0.0000 0.1994 1
Dy2 Dy 0.0000 0.1874 0.3895 1
Hg1 Hg 0.2143 0.0000 0.0000 1
Os1 Os 0.2500 0.2500 0.2500 1
```

Peak list (8 most intense, 10° ≤ 2θ ≤ 80°, low angle first)
(hkl), d/Å, Position (°2θ), I_rel
0 2 2, 4.153, 21.40, 28
1 3 1, 2.850, 31.39, 48
1 1 5, 2.758, 32.46, 44
2 2 2, 2.557, 35.10, 100
2 0 4, 2.523, 35.58, 64
0 4 0, 2.427, 37.04, 22
0 2 6, 2.343, 38.43, 42
1 5 5, 1.609, 57.24, 28



Structure and calculated powder diffractogram of Tb3Nd7Tm (a structure optimized by DFT (PBE); CuKα).

Crystal structure
```
data_Tb3Nd7Tm
_symmetry_space_group_name_H-M 'C 1 2/c 1'
_symmetry_Int_Tables_number 15
_symmetry_space_group_name_Hall '-C 2yc'
_cell_length_a 19.3771
_cell_length_b 7.1886
_cell_length_c 12.6830
_cell_angle_alpha 90.00
_cell_angle_beta 116.76
_cell_angle_gamma 90.00
loop_
_atom_site_label
_atom_site_type_symbol
_atom_site_fract_x
_atom_site_fract_y
_atom_site_fract_z
_atom_site_occupancy
Tb1 Tb 0.0000 0.0000 0.0000 1
Tb2 Tb 0.1708 0.4982 0.2731 1
Nd1 Nd 0.0000 0.2916 0.2500 1
Nd2 Nd 0.1589 0.0029 0.7731 1
Nd3 Nd 0.1652 0.2544 0.0236 1
Nd4 Nd 0.1676 0.2513 0.5279 1
Tm1 Tm 0.0000 0.5000 0.0000 1
```

Peak list (8 most intense, 10° ≤ 2θ ≤ 80°, low angle first)
(hkl), d/Å, Position (°2θ), I_rel
2 2 -2, 3.107, 28.73, 23
0 2 2, 3.035, 29.43, 20
6 0 0, 2.884, 31.01, 50
0 0 4, 2.827, 31.64, 100
6 0 -4, 2.725, 32.87, 32
2 2 2, 2.669, 33.57, 52
4 2 -6, 1.822, 50.07, 26
10 2 -6, 1.550, 59.67, 15



Structure and calculated powder diffractogram of In2AgAu (a structure optimized by DFT (PBE); CuKα).

Crystal structure
```
data_In2AgAu
_symmetry_space_group_name_H-M 'I 4/m m m'
_symmetry_Int_Tables_number 139
_symmetry_space_group_name_Hall '-I 4 2'
_cell_length_a 4.5920
_cell_length_b 4.5920
_cell_length_c 8.0293
_cell_angle_alpha 90.00
_cell_angle_beta 90.00
_cell_angle_gamma 90.00
loop_
_atom_site_label
_atom_site_type_symbol
_atom_site_fract_x
_atom_site_fract_y
_atom_site_fract_z
_atom_site_occupancy
In1 In 0.0000 0.5000 0.2500 1
Ag1 Ag 0.0000 0.0000 0.0000 1
Au1 Au 0.0000 0.0000 0.5000 1
```

Peak list (8 most intense, 10° ≤ 2θ ≤ 80°, low angle first)
(hkl), d/Å, Position (°2θ), I_rel
1 1 2, 2.525, 35.56, 100
2 0 0, 2.296, 39.24, 38
0 0 4, 2.007, 45.17, 13
2 2 0, 1.624, 56.70, 13
2 0 4, 1.511, 61.35, 20
3 1 2, 1.366, 68.74, 28
2 2 4, 1.262, 75.28, 11
1 1 6, 1.237, 77.08, 10



Structure and calculated powder diffractogram of Sr5Pt (a structure optimized by DFT (PBE); CuKα).

Crystal structure
```
data_Sr5Pt
_symmetry_space_group_name_H-M 'C m m m'
_symmetry_Int_Tables_number 65
_symmetry_space_group_name_Hall '-C 2 2'
_cell_length_a 4.2462
_cell_length_b 20.3868
_cell_length_c 6.3358
_cell_angle_alpha 90.00
_cell_angle_beta 90.00
_cell_angle_gamma 90.00
loop_
_atom_site_label
_atom_site_type_symbol
_atom_site_fract_x
_atom_site_fract_y
_atom_site_fract_z
_atom_site_occupancy
Sr1 Sr 0.0000 0.0000 0.0000 1
Sr2 Sr 0.0000 0.1055 0.5000 1
Sr3 Sr 0.0000 0.3316 0.0000 1
Pt1 Pt 0.0000 0.5000 0.5000 1
```

Peak list (8 most intense, 10° ≤ 2θ ≤ 80°, low angle first)
(hkl), d/Å, Position (°2θ), I_rel
0 2 1, 5.381, 16.47, 37
0 0 2, 3.168, 28.17, 37
1 3 1, 3.131, 28.51, 100
1 5 0, 2.941, 30.39, 21
1 5 1, 2.668, 33.60, 30
1 5 2, 2.155, 41.91, 18
1 3 3, 1.822, 50.07, 21
2 0 2, 1.764, 51.84, 14



Structure and calculated powder diffractogram of Pm2Ga3Pd5 (a structure optimized by DFT (PBE); CuKα).

Crystal structure
```
data_Pm2Ga3Pd5
_symmetry_space_group_name_H-M 'C m c 21'
_symmetry_Int_Tables_number 36
_symmetry_space_group_name_Hall 'C 2c -2'
_cell_length_a 4.2557
_cell_length_b 25.2643
_cell_length_c 6.8412
_cell_angle_alpha 90.00
_cell_angle_beta 90.00
_cell_angle_gamma 90.00
loop_
_atom_site_label
_atom_site_type_symbol
_atom_site_fract_x
_atom_site_fract_y
_atom_site_fract_z
_atom_site_occupancy
Pm1 Pm 0.0000 0.0258 0.0000 1
Pm2 Pm 0.0000 0.3247 0.9628 1
Ga1 Ga 0.0000 0.1277 0.7778 1
Ga2 Ga 0.0000 0.2820 0.4116 1
Ga3 Ga 0.0000 0.4547 0.8111 1
Pd1 Pd 0.0000 0.0974 0.3729 1
Pd2 Pd 0.0000 0.1962 0.1352 1
Pd3 Pd 0.0000 0.2276 0.7151 1
Pd4 Pd 0.0000 0.3804 0.5418 1
Pd5 Pd 0.0000 0.4411 0.1855 1
```

Peak list (8 most intense, 10° ≤ 2θ ≤ 80°, low angle first)
(hkl), d/Å, Position (°2θ), I_rel
0 6 2, 2.654, 33.77, 19
1 7 1, 2.554, 35.14, 100
1 3 2, 2.542, 35.31, 90
0 10 1, 2.370, 37.97, 30
1 5 2, 2.358, 38.17, 50
0 4 3, 2.145, 42.13, 27
2 0 0, 2.128, 42.48, 54
2 10 1, 1.583, 58.27, 19



Structure and calculated powder diffractogram of La2Ag2Sn (a structure optimized by DFT (PBE); CuKα).

Crystal structure
```
data_La2Ag2Sn
_symmetry_space_group_name_H-M 'I m m m'
_symmetry_Int_Tables_number 71
_symmetry_space_group_name_Hall '-I 2 2'
_cell_length_a 4.6346
_cell_length_b 6.4624
_cell_length_c 9.0369
_cell_angle_alpha 90.00
_cell_angle_beta 90.00
_cell_angle_gamma 90.00
loop_
_atom_site_label
_atom_site_type_symbol
_atom_site_fract_x
_atom_site_fract_y
_atom_site_fract_z
_atom_site_occupancy
La1 La 0.0000 0.0000 0.2059 1
Ag1 Ag 0.0000 0.2831 0.5000 1
Sn1 Sn 0.0000 0.5000 0.0000 1
```

Peak list (8 most intense, 10° ≤ 2θ ≤ 80°, low angle first)
(hkl), d/Å, Position (°2θ), I_rel
1 1 2, 2.893, 30.91, 100
0 1 3, 2.730, 32.80, 20
0 2 2, 2.628, 34.11, 24
1 2 1, 2.543, 35.29, 71
1 0 3, 2.526, 35.54, 20
2 0 0, 2.317, 38.86, 32
0 4 0, 1.617, 56.95, 20
1 2 5, 1.493, 62.16, 29



Structure and calculated powder diffractogram of La2NpS6 (a structure optimized by DFT (PBE); CuKα).

Crystal structure
```
data_La2NpS6
_symmetry_space_group_name_H-M 'P -6 2 m'
_symmetry_Int_Tables_number 189
_symmetry_space_group_name_Hall 'P -6 -2'
_cell_length_a 7.5270
_cell_length_b 7.5270
_cell_length_c 3.9962
_cell_angle_alpha 90.00
_cell_angle_beta 90.00
_cell_angle_gamma 120.00
loop_
_atom_site_label
_atom_site_type_symbol
_atom_site_fract_x
_atom_site_fract_y
_atom_site_fract_z
_atom_site_occupancy
La1 La 0.3333 0.6667 0.0000 1
Np1 Np 0.0000 0.0000 0.5000 1
S1 S 0.0000 0.4024 0.5000 1
S2 S 0.0000 0.7599 0.0000 1
```

Peak list (8 most intense, 10° ≤ 2θ ≤ 80°, low angle first)
(hkl), d/Å, Position (°2θ), I_rel
1 1 0, 3.764, 23.64, 100
1 0 1, 3.407, 26.16, 80
2 0 1, 2.526, 35.54, 80
3 0 0, 2.173, 41.56, 41
2 1 1, 2.097, 43.13, 72
1 1 2, 1.765, 51.80, 26
3 0 2, 1.471, 63.22, 24
3 2 1, 1.401, 66.79, 25



Structure and calculated powder diffractogram of CrRh2Se4 (a structure optimized by DFT (PBE); CuKα).

Crystal structure
```
data_CrRh2Se4
_symmetry_space_group_name_H-M 'C 1 2/m 1'
_symmetry_Int_Tables_number 12
_symmetry_space_group_name_Hall '-C 2y'
_cell_length_a 12.7001
_cell_length_b 3.7180
_cell_length_c 6.5876
_cell_angle_alpha 90.00
_cell_angle_beta 119.86
_cell_angle_gamma 90.00
loop_
_atom_site_label
_atom_site_type_symbol
_atom_site_fract_x
_atom_site_fract_y
_atom_site_fract_z
_atom_site_occupancy
Cr1 Cr 0.0000 0.0000 0.0000 1
Rh1 Rh 0.2408 0.5000 0.7252 1
Se1 Se 0.1276 0.0000 0.4570 1
Se2 Se 0.1312 0.5000 0.9678 1
```

Peak list (8 most intense, 10° ≤ 2θ ≤ 80°, low angle first)
(hkl), d/Å, Position (°2θ), I_rel
2 0 0, 5.507, 16.09, 46
1 1 1, 2.806, 31.90, 100
4 0 -2, 2.797, 32.00, 50
3 1 1, 2.110, 42.86, 48
6 0 -2, 2.086, 43.37, 61
3 1 -3, 1.890, 48.14, 58
0 2 0, 1.859, 49.00, 28
7 1 -1, 1.589, 58.06, 29



Structure and calculated powder diffractogram of CsTlHg6 (a structure optimized by DFT (PBE); CuKα).

Crystal structure
```
data_CsTlHg6
_symmetry_space_group_name_H-M 'P m m 2'
_symmetry_Int_Tables_number 25
_symmetry_space_group_name_Hall 'P 2 -2'
_cell_length_a 5.3932
_cell_length_b 7.6006
_cell_length_c 6.4450
_cell_angle_alpha 90.00
_cell_angle_beta 90.00
_cell_angle_gamma 90.00
loop_
_atom_site_label
_atom_site_type_symbol
_atom_site_fract_x
_atom_site_fract_y
_atom_site_fract_z
_atom_site_occupancy
Cs1 Cs 0.0000 0.0000 0.0000 1
Tl1 Tl 0.5000 0.5000 0.2670 1
Hg1 Hg 0.0000 0.2836 0.4850 1
Hg2 Hg 0.0000 0.5000 0.9604 1
Hg3 Hg 0.5000 0.0000 0.4273 1
Hg4 Hg 0.5000 0.2934 0.7733 1
```

Peak list (8 most intense, 10° ≤ 2θ ≤ 80°, low angle first)
(hkl), d/Å, Position (°2θ), I_rel
0 2 1, 3.274, 27.24, 26
1 2 1, 2.798, 31.98, 100
1 0 2, 2.766, 32.36, 48
2 0 0, 2.697, 33.22, 38
1 1 2, 2.599, 34.50, 20
2 2 1, 2.081, 43.48, 15
3 2 1, 1.576, 58.58, 19
2 2 3, 1.537, 60.21, 15



Structure and calculated powder diffractogram of Ac7Sn2Rh2 (a structure optimized by DFT (PBE); CuKα).

Crystal structure
```
data_Ac7Sn2Rh2
_symmetry_space_group_name_H-M 'C m m m'
_symmetry_Int_Tables_number 65
_symmetry_space_group_name_Hall '-C 2 2'
_cell_length_a 8.6984
_cell_length_b 12.2187
_cell_length_c 7.5852
_cell_angle_alpha 90.00
_cell_angle_beta 90.00
_cell_angle_gamma 90.00
loop_
_atom_site_label
_atom_site_type_symbol
_atom_site_fract_x
_atom_site_fract_y
_atom_site_fract_z
_atom_site_occupancy
Ac1 Ac 0.0000 0.0000 0.0000 1
Ac2 Ac 0.0000 0.5000 0.2388 1
Ac3 Ac 0.2500 0.2500 0.2548 1
Sn1 Sn 0.1693 0.0000 0.5000 1
Rh1 Rh 0.0000 0.2883 0.0000 1
```

Peak list (8 most intense, 10° ≤ 2θ ≤ 80°, low angle first)
(hkl), d/Å, Position (°2θ), I_rel
2 0 1, 3.773, 23.58, 26
2 2 0, 3.543, 25.13, 84
1 1 2, 3.344, 26.66, 51
0 2 2, 3.222, 27.68, 23
0 4 0, 3.055, 29.24, 71
1 3 2, 2.644, 33.90, 52
2 2 2, 2.589, 34.65, 100
0 4 4, 1.611, 57.18, 22



Structure and calculated powder diffractogram of Pa2Te3H (a structure optimized by DFT (PBE); CuKα).

Crystal structure
```
data_Pa2Te3H
_symmetry_space_group_name_H-M 'P n m a'
_symmetry_Int_Tables_number 62
_symmetry_space_group_name_Hall '-P 2ac 2n'
_cell_length_a 11.9093
_cell_length_b 4.1038
_cell_length_c 12.2720
_cell_angle_alpha 90.00
_cell_angle_beta 90.00
_cell_angle_gamma 90.00
loop_
_atom_site_label
_atom_site_type_symbol
_atom_site_fract_x
_atom_site_fract_y
_atom_site_fract_z
_atom_site_occupancy
Pa1 Pa 0.0469 0.2500 0.1801 1
Pa2 Pa 0.2070 0.2500 0.5183 1
Te1 Te 0.0569 0.7500 0.3791 1
Te2 Te 0.1161 0.2500 0.9361 1
Te3 Te 0.1986 0.7500 0.7076 1
H1 H 0.1299 0.7500 0.1262 1
```

Peak list (8 most intense, 10° ≤ 2θ ≤ 80°, low angle first)
(hkl), d/Å, Position (°2θ), I_rel
2 0 2, 4.273, 20.79, 32
1 1 2, 3.279, 27.19, 34
0 1 3, 2.895, 30.88, 100
1 1 3, 2.815, 31.79, 66
3 1 1, 2.779, 32.21, 75
4 1 2, 2.243, 40.20, 50
3 0 5, 2.088, 43.33, 33
0 2 0, 2.052, 44.14, 37



Structure and calculated powder diffractogram of TbPrTm2Th (a structure optimized by DFT (PBE); CuKα).

Crystal structure
```
data_TbPrTm2Th
_symmetry_space_group_name_H-M 'P 1 2/c 1'
_symmetry_Int_Tables_number 13
_symmetry_space_group_name_Hall '-P 2yc'
_cell_length_a 8.5880
_cell_length_b 6.4598
_cell_length_c 6.3170
_cell_angle_alpha 90.00
_cell_angle_beta 101.11
_cell_angle_gamma 90.00
loop_
_atom_site_label
_atom_site_type_symbol
_atom_site_fract_x
_atom_site_fract_y
_atom_site_fract_z
_atom_site_occupancy
Tb1 Tb 0.0000 0.0000 0.0000 1
Pr1 Pr 0.5000 0.1717 0.2500 1
Tm1 Tm 0.3120 0.3219 0.6916 1
Th1 Th 0.0000 0.4471 0.2500 1
```

Peak list (8 most intense, 10° ≤ 2θ ≤ 80°, low angle first)
(hkl), d/Å, Position (°2θ), I_rel
2 0 0, 4.208, 21.11, 50
0 0 2, 3.103, 28.77, 65
1 2 0, 3.016, 29.62, 82
2 1 1, 2.874, 31.12, 68
3 0 0, 2.806, 31.89, 68
1 2 -1, 2.791, 32.07, 100
1 1 2, 2.524, 35.56, 50
3 1 -2, 2.179, 41.43, 46